Entry 1:
# LiFe8B8O24
Computed powder XRD pattern, Cu Kα (weighted mean of Kα1 and Kα2). Input: a cell relaxed with PBE+U.
No peak broadening, texture or thermal motion is included.

Structural model:
Unit cell a=5.217 b=9.188 c=10.202 alpha=89.93 beta=89.93 gamma=89.02
Space group P1 (No. 1)
Symmetry-distinct sites (fractional):
Li  0.000  0.000  0.000 [1 per cell]
Fe  0.333  0.008  0.720 [1 per cell]
Fe  0.333  0.679  0.225 [1 per cell]
Fe  0.488  0.170  0.470 [1 per cell]
Fe  0.498  0.828  0.972 [1 per cell]
Fe  0.828  0.512  0.720 [1 per cell]
Fe  0.830  0.182  0.227 [1 per cell]
Fe  0.985  0.342  0.972 [1 per cell]
Fe  0.986  0.671  0.472 [1 per cell]
B  0.007  0.674  0.969 [1 per cell]
B  0.320  0.675  0.721 [1 per cell]
B  0.336  0.002  0.214 [1 per cell]
B  0.485  0.844  0.473 [1 per cell]
B  0.493  0.166  0.969 [1 per cell]
B  0.823  0.177  0.728 [1 per cell]
B  0.832  0.509  0.220 [1 per cell]
B  0.988  0.342  0.477 [1 per cell]
O  0.070  0.671  0.672 [1 per cell]
O  0.090  0.024  0.182 [1 per cell]
O  0.246  0.319  0.482 [1 per cell]
O  0.255  0.675  0.021 [1 per cell]
O  0.321  0.742  0.417 [1 per cell]
O  0.331  0.282  0.976 [1 per cell]
O  0.370  0.970  0.526 [1 per cell]
O  0.397  0.030  0.925 [1 per cell]
O  0.400  0.806  0.778 [1 per cell]
O  0.463  0.873  0.168 [1 per cell]
O  0.479  0.559  0.717 [1 per cell]
O  0.485  0.101  0.283 [1 per cell]
O  0.576  0.163  0.677 [1 per cell]
O  0.576  0.532  0.223 [1 per cell]
O  0.740  0.820  0.477 [1 per cell]
O  0.751  0.170  0.003 [1 per cell]
O  0.828  0.238  0.426 [1 per cell]
O  0.860  0.800  0.970 [1 per cell]
O  0.876  0.473  0.524 [1 per cell]
O  0.897  0.312  0.776 [1 per cell]
O  0.916  0.546  0.916 [1 per cell]
O  0.941  0.387  0.161 [1 per cell]
O  0.987  0.061  0.735 [1 per cell]
O  0.995  0.610  0.279 [1 per cell]

Principal peaks in the range 10 to 80 degrees two-theta, in order of rising 2θ:
- 19.72°, d 4.503, I = 96
- 21.25°, d 4.181, I = 100
- 21.57°, d 4.119, I = 57
- 26.13°, d 3.411, I = 100
- 26.20°, d 3.401, I = 33
- 34.21°, d 2.621, I = 31
- 34.39°, d 2.608, I = 29
- 35.19°, d 2.551, I = 80
- 38.17°, d 2.358, I = 30
- 48.84°, d 1.865, I = 34

Entry 2:
# LiFe2B2O6
Computed powder XRD pattern, Cu Kα (weighted mean of Kα1 and Kα2). Input: a cell relaxed with PBE+U.
No peak broadening, texture or thermal motion is included.

Structural model:
Unit cell a=5.230 b=9.146 c=11.254 alpha=66.93 beta=76.92 gamma=89.04
Space group P1 (No. 1)
Symmetry-distinct sites (fractional):
Li  0.000  0.000  0.000 [1 per cell]
Li  0.046  0.028  0.252 [1 per cell]
Li  0.241  0.253  0.508 [1 per cell]
Li  0.501  0.504  0.997 [1 per cell]
Fe  0.002  0.682  0.976 [1 per cell]
Fe  0.034  0.382  0.227 [1 per cell]
Fe  0.266  0.601  0.478 [1 per cell]
Fe  0.295  0.960  0.729 [1 per cell]
Fe  0.508  0.179  0.974 [1 per cell]
Fe  0.563  0.872  0.226 [1 per cell]
Fe  0.756  0.087  0.479 [1 per cell]
Fe  0.795  0.461  0.730 [1 per cell]
B  0.000  0.339  0.980 [1 per cell]
B  0.065  0.716  0.224 [1 per cell]
B  0.263  0.928  0.472 [1 per cell]
B  0.293  0.634  0.728 [1 per cell]
B  0.506  0.845  0.971 [1 per cell]
B  0.539  0.213  0.223 [1 per cell]
B  0.763  0.424  0.476 [1 per cell]
B  0.796  0.136  0.724 [1 per cell]
O  0.027  0.951  0.441 [1 per cell]
O  0.062  0.127  0.712 [1 per cell]
O  0.099  0.448  0.024 [1 per cell]
O  0.119  0.206  0.984 [1 per cell]
O  0.158  0.746  0.768 [1 per cell]
O  0.162  0.549  0.677 [1 per cell]
O  0.266  0.881  0.929 [1 per cell]
O  0.273  0.686  0.286 [1 per cell]
O  0.365  0.026  0.524 [1 per cell]
O  0.397  0.342  0.221 [1 per cell]
O  0.418  0.811  0.447 [1 per cell]
O  0.447  0.099  0.186 [1 per cell]
O  0.501  0.433  0.477 [1 per cell]
O  0.540  0.603  0.743 [1 per cell]
O  0.615  0.952  0.010 [1 per cell]
O  0.619  0.709  0.976 [1 per cell]
O  0.660  0.044  0.681 [1 per cell]
O  0.666  0.245  0.770 [1 per cell]
O  0.768  0.377  0.934 [1 per cell]
O  0.782  0.199  0.259 [1 per cell]
O  0.890  0.510  0.528 [1 per cell]
O  0.917  0.322  0.428 [1 per cell]
O  0.950  0.859  0.200 [1 per cell]
O  0.978  0.607  0.181 [1 per cell]

Principal peaks in the range 10 to 80 degrees two-theta, in order of rising 2θ:
- 19.42°, d 4.571, I = 37
- 19.70°, d 4.507, I = 68
- 21.54°, d 4.126, I = 100
- 21.63°, d 4.109, I = 31
- 26.05°, d 3.421, I = 29
- 26.64°, d 3.347, I = 43
- 34.30°, d 2.614, I = 62
- 35.72°, d 2.514, I = 82
- 40.27°, d 2.239, I = 38
- 49.94°, d 1.826, I = 31

Entry 3:
# Li5Fe3B4O12
Computed powder XRD pattern, Cu Kα (weighted mean of Kα1 and Kα2). Input: a cell relaxed with PBE+U.
No peak broadening, texture or thermal motion is included.

Structural model:
Unit cell a=5.246 b=8.981 c=11.231 alpha=90.00 beta=116.15 gamma=90.00
Space group Pc (No. 7)
Symmetry-distinct sites (fractional):
Li  0.000  0.085  0.000 [2 per cell]
Li  0.044  0.233  0.546 [2 per cell]
Li  0.093  0.406  0.771 [2 per cell]
Li  0.458  0.239  0.979 [2 per cell]
Li  0.610  0.260  0.772 [2 per cell]
Fe  0.031  0.277  0.217 [2 per cell]
Fe  0.520  0.427  0.514 [2 per cell]
Fe  0.576  0.071  0.261 [2 per cell]
B  0.000  0.425  0.005 [2 per cell]
B  0.093  0.078  0.764 [2 per cell]
B  0.506  0.084  0.513 [2 per cell]
B  0.573  0.417  0.256 [2 per cell]
O  0.173  0.061  0.232 [2 per cell]
O  0.227  0.409  0.975 [2 per cell]
O  0.244  0.203  0.766 [2 per cell]
O  0.350  0.420  0.291 [2 per cell]
O  0.381  0.215  0.520 [2 per cell]
O  0.435  0.048  0.059 [2 per cell]
O  0.683  0.276  0.246 [2 per cell]
O  0.688  0.458  0.730 [2 per cell]
O  0.709  0.077  0.462 [2 per cell]
O  0.855  0.295  0.013 [2 per cell]
O  0.861  0.083  0.793 [2 per cell]
O  0.920  0.437  0.532 [2 per cell]

Principal peaks in the range 10 to 80 degrees two-theta, in order of rising 2θ:
- 13.20°, d 6.706, I = 99
- 20.20°, d 4.396, I = 62
- 26.12°, d 3.411, I = 51
- 27.45°, d 3.250, I = 43
- 28.36°, d 3.147, I = 32
- 34.20°, d 2.622, I = 31
- 34.50°, d 2.600, I = 77
- 35.62°, d 2.520, I = 100
- 50.01°, d 1.824, I = 31
- 61.42°, d 1.510, I = 35

Entry 4:
# LiFe2B2O6
Computed powder XRD pattern, Cu Kα (weighted mean of Kα1 and Kα2). Input: a cell relaxed with PBE+U.
No peak broadening, texture or thermal motion is included.

Structural model:
Unit cell a=5.276 b=9.099 c=11.348 alpha=113.59 beta=102.18 gamma=90.45
Space group P1 (No. 1)
Symmetry-distinct sites (fractional):
Li  0.000  0.000  0.000 [1 per cell]
Li  0.044  0.711  0.737 [1 per cell]
Li  0.272  0.961  0.258 [1 per cell]
Li  0.759  0.455  0.240 [1 per cell]
Fe  0.013  0.344  0.020 [1 per cell]
Fe  0.054  0.386  0.768 [1 per cell]
Fe  0.258  0.929  0.524 [1 per cell]
Fe  0.281  0.303  0.278 [1 per cell]
Fe  0.508  0.833  0.018 [1 per cell]
Fe  0.557  0.897  0.765 [1 per cell]
Fe  0.755  0.422  0.525 [1 per cell]
Fe  0.778  0.800  0.276 [1 per cell]
B  0.002  0.679  0.024 [1 per cell]
B  0.060  0.054  0.780 [1 per cell]
B  0.265  0.595  0.526 [1 per cell]
B  0.290  0.634  0.270 [1 per cell]
B  0.514  0.175  0.029 [1 per cell]
B  0.544  0.556  0.770 [1 per cell]
B  0.754  0.091  0.518 [1 per cell]
B  0.785  0.132  0.268 [1 per cell]
O  0.018  0.582  0.543 [1 per cell]
O  0.038  0.121  0.255 [1 per cell]
O  0.082  0.527  0.981 [1 per cell]
O  0.124  0.489  0.225 [1 per cell]
O  0.154  0.810  0.031 [1 per cell]
O  0.181  0.781  0.311 [1 per cell]
O  0.267  0.194  0.057 [1 per cell]
O  0.269  0.030  0.721 [1 per cell]
O  0.390  0.746  0.558 [1 per cell]
O  0.394  0.459  0.479 [1 per cell]
O  0.410  0.428  0.764 [1 per cell]
O  0.451  0.713  0.820 [1 per cell]
O  0.493  0.069  0.507 [1 per cell]
O  0.547  0.627  0.271 [1 per cell]
O  0.598  0.020  0.985 [1 per cell]
O  0.615  0.991  0.225 [1 per cell]
O  0.680  0.303  0.049 [1 per cell]
O  0.689  0.284  0.318 [1 per cell]
O  0.768  0.707  0.062 [1 per cell]
O  0.780  0.549  0.728 [1 per cell]
O  0.881  0.245  0.562 [1 per cell]
O  0.896  0.959  0.478 [1 per cell]
O  0.944  0.928  0.797 [1 per cell]
O  0.970  0.205  0.828 [1 per cell]

Principal peaks in the range 10 to 80 degrees two-theta, in order of rising 2θ:
- 19.52°, d 4.548, I = 98
- 21.28°, d 4.175, I = 29
- 21.44°, d 4.145, I = 97
- 21.56°, d 4.121, I = 28
- 26.01°, d 3.426, I = 36
- 26.35°, d 3.382, I = 64
- 26.51°, d 3.362, I = 28
- 33.99°, d 2.638, I = 67
- 34.22°, d 2.620, I = 35
- 35.51°, d 2.528, I = 100

Entry 5:
# LiFe2B2O6
Computed powder XRD pattern, Cu Kα (weighted mean of Kα1 and Kα2). Input: a cell relaxed with PBE+U.
No peak broadening, texture or thermal motion is included.

Structural model:
Unit cell a=5.323 b=8.991 c=9.988 alpha=89.21 beta=88.02 gamma=89.81
Space group P1 (No. 1)
Symmetry-distinct sites (fractional):
Li  0.000  0.000  0.000 [1 per cell]
Li  0.013  0.006  0.483 [1 per cell]
Li  0.322  0.989  0.751 [1 per cell]
Li  0.816  0.490  0.759 [1 per cell]
Fe  0.001  0.665  0.526 [1 per cell]
Fe  0.315  0.324  0.264 [1 per cell]
Fe  0.323  0.653  0.775 [1 per cell]
Fe  0.492  0.827  0.028 [1 per cell]
Fe  0.503  0.181  0.521 [1 per cell]
Fe  0.803  0.835  0.274 [1 per cell]
Fe  0.808  0.163  0.777 [1 per cell]
Fe  0.988  0.343  0.028 [1 per cell]
B  0.308  0.659  0.274 [1 per cell]
B  0.317  0.328  0.769 [1 per cell]
B  0.494  0.159  0.027 [1 per cell]
B  0.494  0.840  0.531 [1 per cell]
B  0.826  0.831  0.775 [1 per cell]
B  0.834  0.174  0.282 [1 per cell]
B  0.982  0.677  0.019 [1 per cell]
B  0.994  0.325  0.527 [1 per cell]
O  0.067  0.323  0.813 [1 per cell]
O  0.070  0.684  0.334 [1 per cell]
O  0.232  0.305  0.466 [1 per cell]
O  0.234  0.695  0.977 [1 per cell]
O  0.353  0.714  0.563 [1 per cell]
O  0.362  0.027  0.014 [1 per cell]
O  0.367  0.284  0.075 [1 per cell]
O  0.375  0.978  0.538 [1 per cell]
O  0.411  0.523  0.264 [1 per cell]
O  0.432  0.195  0.717 [1 per cell]
O  0.442  0.784  0.225 [1 per cell]
O  0.462  0.451  0.772 [1 per cell]
O  0.571  0.832  0.813 [1 per cell]
O  0.581  0.193  0.330 [1 per cell]
O  0.747  0.165  0.986 [1 per cell]
O  0.749  0.830  0.497 [1 per cell]
O  0.856  0.811  0.058 [1 per cell]
O  0.860  0.194  0.563 [1 per cell]
O  0.862  0.547  0.013 [1 per cell]
O  0.900  0.462  0.555 [1 per cell]
O  0.936  0.698  0.729 [1 per cell]
O  0.944  0.038  0.291 [1 per cell]
O  0.958  0.300  0.234 [1 per cell]
O  0.968  0.958  0.785 [1 per cell]

Principal peaks in the range 10 to 80 degrees two-theta, in order of rising 2θ:
- 19.39°, d 4.579, I = 32
- 19.75°, d 4.495, I = 61
- 21.59°, d 4.117, I = 100
- 25.91°, d 3.439, I = 23
- 26.13°, d 3.410, I = 26
- 26.74°, d 3.334, I = 20
- 33.70°, d 2.660, I = 23
- 34.34°, d 2.611, I = 53
- 35.99°, d 2.495, I = 69
- 40.26°, d 2.240, I = 17

Entry 6:
# LiFe8B8O24
Computed powder XRD pattern, Cu Kα (weighted mean of Kα1 and Kα2). Input: a cell relaxed with PBE+U.
No peak broadening, texture or thermal motion is included.

Structural model:
Unit cell a=5.223 b=5.250 c=20.196 alpha=89.43 beta=89.48 gamma=61.10
Space group P1 (No. 1)
Symmetry-distinct sites (fractional):
Li  0.000  0.000  0.000 [1 per cell]
Fe  0.007  0.637  0.610 [1 per cell]
Fe  0.009  0.625  0.110 [1 per cell]
Fe  0.328  0.316  0.485 [1 per cell]
Fe  0.333  0.970  0.860 [1 per cell]
Fe  0.334  0.970  0.361 [1 per cell]
Fe  0.339  0.329  0.983 [1 per cell]
Fe  0.656  0.646  0.735 [1 per cell]
Fe  0.658  0.648  0.236 [1 per cell]
B  0.329  0.301  0.735 [1 per cell]
B  0.330  0.305  0.236 [1 per cell]
B  0.336  0.980  0.610 [1 per cell]
B  0.341  0.975  0.109 [1 per cell]
B  0.670  0.647  0.485 [1 per cell]
B  0.670  0.648  0.985 [1 per cell]
B  0.993  0.639  0.360 [1 per cell]
B  0.994  0.639  0.859 [1 per cell]
O  0.027  0.880  0.862 [1 per cell]
O  0.036  0.872  0.358 [1 per cell]
O  0.063  0.514  0.708 [1 per cell]
O  0.064  0.521  0.209 [1 per cell]
O  0.103  0.936  0.607 [1 per cell]
O  0.116  0.920  0.098 [1 per cell]
O  0.203  0.374  0.387 [1 per cell]
O  0.211  0.372  0.881 [1 per cell]
O  0.318  0.238  0.089 [1 per cell]
O  0.323  0.237  0.585 [1 per cell]
O  0.339  0.044  0.758 [1 per cell]
O  0.340  0.049  0.260 [1 per cell]
O  0.422  0.899  0.962 [1 per cell]
O  0.459  0.913  0.458 [1 per cell]
O  0.562  0.346  0.737 [1 per cell]
O  0.566  0.346  0.238 [1 per cell]
O  0.601  0.769  0.637 [1 per cell]
O  0.602  0.766  0.138 [1 per cell]
O  0.626  0.414  0.486 [1 per cell]
O  0.685  0.384  0.986 [1 per cell]
O  0.732  0.659  0.835 [1 per cell]
O  0.735  0.653  0.336 [1 per cell]
O  0.908  0.677  0.009 [1 per cell]
O  0.927  0.633  0.509 [1 per cell]

Principal peaks in the range 10 to 80 degrees two-theta, in order of rising 2θ:
- 19.69°, d 4.509, I = 94
- 21.29°, d 4.173, I = 100
- 21.49°, d 4.134, I = 35
- 26.18°, d 3.404, I = 69
- 26.34°, d 3.384, I = 73
- 33.67°, d 2.662, I = 27
- 34.17°, d 2.624, I = 34
- 34.34°, d 2.611, I = 29
- 35.56°, d 2.524, I = 87
- 38.21°, d 2.355, I = 28

Entry 7:
# LiFe2B2O6
Computed powder XRD pattern, Cu Kα (weighted mean of Kα1 and Kα2). Input: a cell relaxed with PBE+U.
No peak broadening, texture or thermal motion is included.

Structural model:
Unit cell a=5.237 b=9.149 c=10.121 alpha=88.94 beta=89.15 gamma=89.23
Space group P1 (No. 1)
Symmetry-distinct sites (fractional):
Li  0.000  0.000  0.000 [1 per cell]
Li  0.002  0.010  0.482 [1 per cell]
Li  0.500  0.511  0.482 [1 per cell]
Li  0.824  0.853  0.731 [1 per cell]
Fe  0.023  0.341  0.454 [1 per cell]
Fe  0.328  0.031  0.706 [1 per cell]
Fe  0.340  0.685  0.205 [1 per cell]
Fe  0.502  0.186  0.955 [1 per cell]
Fe  0.516  0.842  0.456 [1 per cell]
Fe  0.838  0.187  0.215 [1 per cell]
Fe  0.844  0.511  0.709 [1 per cell]
Fe  0.990  0.672  0.959 [1 per cell]
B  0.002  0.342  0.953 [1 per cell]
B  0.011  0.680  0.462 [1 per cell]
B  0.343  0.014  0.202 [1 per cell]
B  0.345  0.685  0.705 [1 per cell]
B  0.497  0.857  0.958 [1 per cell]
B  0.507  0.179  0.454 [1 per cell]
B  0.827  0.181  0.704 [1 per cell]
B  0.839  0.515  0.211 [1 per cell]
O  0.081  0.679  0.739 [1 per cell]
O  0.082  0.033  0.195 [1 per cell]
O  0.260  0.336  0.956 [1 per cell]
O  0.265  0.669  0.416 [1 per cell]
O  0.356  0.987  0.929 [1 per cell]
O  0.360  0.739  0.007 [1 per cell]
O  0.376  0.053  0.492 [1 per cell]
O  0.397  0.314  0.457 [1 per cell]
O  0.449  0.883  0.246 [1 per cell]
O  0.456  0.819  0.678 [1 per cell]
O  0.489  0.559  0.692 [1 per cell]
O  0.502  0.128  0.159 [1 per cell]
O  0.583  0.535  0.224 [1 per cell]
O  0.586  0.182  0.763 [1 per cell]
O  0.758  0.853  0.937 [1 per cell]
O  0.767  0.163  0.412 [1 per cell]
O  0.862  0.220  0.001 [1 per cell]
O  0.873  0.464  0.904 [1 per cell]
O  0.887  0.551  0.503 [1 per cell]
O  0.890  0.813  0.469 [1 per cell]
O  0.934  0.311  0.660 [1 per cell]
O  0.951  0.381  0.245 [1 per cell]
O  0.952  0.049  0.685 [1 per cell]
O  0.995  0.627  0.164 [1 per cell]

Principal peaks in the range 10 to 80 degrees two-theta, in order of rising 2θ:
- 19.42°, d 4.572, I = 29
- 19.65°, d 4.519, I = 49
- 21.51°, d 4.131, I = 100
- 26.00°, d 3.426, I = 46
- 26.54°, d 3.358, I = 35
- 33.83°, d 2.650, I = 20
- 34.24°, d 2.619, I = 48
- 35.49°, d 2.530, I = 67
- 40.27°, d 2.239, I = 31
- 60.78°, d 1.524, I = 19